Structure and computed PXRD pattern of TbErTeC (DFT lattice parameters and positions (GGA-PBE); Cu Kα).
Intensities are scaled so that the largest is 100.

Atomic structure:
a = 3.8244 Å, b = 3.8244 Å, c = 13.9925 Å
α = 90.00°, β = 90.00°, γ = 120.00°
Space group P-3m1 (No. 164)
Asymmetric unit:
Tb  0.3333  0.6667  0.0947 (multiplicity 2)
Er  0.3333  0.6667  0.4082 (multiplicity 2)
Te  0.3333  0.6667  0.7465 (multiplicity 2)
C  0.0000  0.0000  0.0000 (multiplicity 1)
C  0.0000  0.0000  0.5000 (multiplicity 1)

Principal peaks in the range 2θ from 5° to 70°, by angle:
26.92 deg, I = 26
27.68 deg, I = 2
33.18 deg, I = 100
38.61 deg, I = 13
47.55 deg, I = 26
47.69 deg, I = 12
53.55 deg, I = 3
55.49 deg, I = 4
59.21 deg, I = 19
62.85 deg, I = 19
66.43 deg, I = 11
69.63 deg, I = 4

***

Structure and computed PXRD pattern of Er3TmTe2C2 (DFT lattice parameters and positions (GGA-PBE); Cu Kα).
Intensities are scaled so that the largest is 100.

Atomic structure:
a = 3.7871 Å, b = 3.7871 Å, c = 13.8924 Å
α = 90.00°, β = 90.00°, γ = 120.00°
Space group P3m1 (No. 156)
Asymmetric unit:
Er  0.0000  0.0000  0.0000 (multiplicity 1)
Er  0.0000  0.0000  0.3151 (multiplicity 1)
Er  0.3333  0.6667  0.5001 (multiplicity 1)
Tm  0.3333  0.6667  0.8152 (multiplicity 1)
Te  0.0000  0.0000  0.6578 (multiplicity 1)
Te  0.3333  0.6667  0.1576 (multiplicity 1)
C  0.6667  0.3333  0.4076 (multiplicity 1)
C  0.6667  0.3333  0.9075 (multiplicity 1)

Principal peaks in the range 2θ from 5° to 70°, by angle:
25.65 deg, I = 2
27.19 deg, I = 26
27.95 deg, I = 3
33.48 deg, I = 100
37.72 deg, I = 2
38.90 deg, I = 13
48.07 deg, I = 38
54.00 deg, I = 3
56.08 deg, I = 4
59.83 deg, I = 19
63.46 deg, I = 19
67.01 deg, I = 11

***

Structure and computed PXRD pattern of ErTm3Te2C2 (DFT lattice parameters and positions (GGA-PBE); Cu Kα).
Intensities are scaled so that the largest is 100.

Atomic structure:
a = 3.7797 Å, b = 3.7797 Å, c = 13.8417 Å
α = 90.00°, β = 90.00°, γ = 120.00°
Space group P3m1 (No. 156)
Asymmetric unit:
Er  0.0000  0.0000  0.0000 (multiplicity 1)
Tm  0.0000  0.0000  0.6846 (multiplicity 1)
Tm  0.6667  0.3333  0.1851 (multiplicity 1)
Tm  0.6667  0.3333  0.5003 (multiplicity 1)
Te  0.0000  0.0000  0.3425 (multiplicity 1)
Te  0.6667  0.3333  0.8418 (multiplicity 1)
C  0.3333  0.6667  0.0930 (multiplicity 1)
C  0.3333  0.6667  0.5924 (multiplicity 1)

Principal peaks in the range 2θ from 5° to 70°, by angle:
27.24 deg, I = 26
28.01 deg, I = 3
33.57 deg, I = 100
37.83 deg, I = 2
39.04 deg, I = 13
48.15 deg, I = 26
48.26 deg, I = 12
54.19 deg, I = 3
56.20 deg, I = 4
59.97 deg, I = 19
63.65 deg, I = 19
67.26 deg, I = 11

***

Structure and computed PXRD pattern of Y3ErTe2C2 (DFT lattice parameters and positions (GGA-PBE); Cu Kα).
Intensities are scaled so that the largest is 100.

Atomic structure:
a = 3.8304 Å, b = 3.8304 Å, c = 14.0033 Å
α = 90.00°, β = 90.00°, γ = 120.00°
Space group P3m1 (No. 156)
Asymmetric unit:
Y  0.0000  0.0000  0.0000 (multiplicity 1)
Y  0.0000  0.0000  0.3141 (multiplicity 1)
Y  0.3333  0.6667  0.5017 (multiplicity 1)
Er  0.3333  0.6667  0.8146 (multiplicity 1)
Te  0.0000  0.0000  0.6597 (multiplicity 1)
Te  0.3333  0.6667  0.1569 (multiplicity 1)
C  0.6667  0.3333  0.4076 (multiplicity 1)
C  0.6667  0.3333  0.9053 (multiplicity 1)

Principal peaks in the range 2θ from 5° to 70°, by angle:
6.31 deg, I = 11
26.88 deg, I = 27
33.13 deg, I = 100
38.58 deg, I = 13
42.23 deg, I = 3
47.47 deg, I = 26
47.64 deg, I = 13
55.39 deg, I = 4
59.11 deg, I = 19
62.76 deg, I = 18
66.36 deg, I = 11
69.53 deg, I = 4

***

Structure and computed PXRD pattern of Er3ZrTe2C2 (DFT lattice parameters and positions (GGA-PBE); Cu Kα).
Intensities are scaled so that the largest is 100.

Atomic structure:
a = 3.7146 Å, b = 3.7146 Å, c = 13.8221 Å
α = 90.00°, β = 90.00°, γ = 120.00°
Space group P3m1 (No. 156)
Asymmetric unit:
Er  0.0000  0.0000  0.0000 (multiplicity 1)
Er  0.0000  0.0000  0.3180 (multiplicity 1)
Er  0.3333  0.6667  0.5051 (multiplicity 1)
Zr  0.3333  0.6667  0.8200 (multiplicity 1)
Te  0.0000  0.0000  0.6710 (multiplicity 1)
Te  0.3333  0.6667  0.1580 (multiplicity 1)
C  0.6667  0.3333  0.4135 (multiplicity 1)
C  0.6667  0.3333  0.9012 (multiplicity 1)

Principal peaks in the range 2θ from 5° to 70°, by angle:
6.39 deg, I = 4
27.73 deg, I = 26
28.49 deg, I = 3
33.99 deg, I = 100
39.10 deg, I = 13
48.61 deg, I = 13
49.05 deg, I = 25
54.53 deg, I = 2
57.28 deg, I = 4
61.01 deg, I = 18
64.44 deg, I = 19
67.59 deg, I = 11

***

Structure and computed PXRD pattern of Er3ZrTl2C2 (DFT lattice parameters and positions (GGA-PBE); Cu Kα).
Intensities are scaled so that the largest is 100.

Atomic structure:
a = 3.5218 Å, b = 3.5218 Å, c = 15.8453 Å
α = 90.00°, β = 90.00°, γ = 120.00°
Space group P3m1 (No. 156)
Asymmetric unit:
Er  0.0000  0.0000  0.0000 (multiplicity 1)
Er  0.0000  0.0000  0.3356 (multiplicity 1)
Er  0.6667  0.3333  0.8305 (multiplicity 1)
Zr  0.6667  0.3333  0.4979 (multiplicity 1)
Tl  0.0000  0.0000  0.6607 (multiplicity 1)
Tl  0.6667  0.3333  0.1691 (multiplicity 1)
C  0.3333  0.6667  0.4271 (multiplicity 1)
C  0.3333  0.6667  0.9155 (multiplicity 1)

Principal peaks in the range 2θ from 5° to 70°, by angle:
5.58 deg, I = 3
11.17 deg, I = 2
22.44 deg, I = 1
29.28 deg, I = 19
29.83 deg, I = 2
31.43 deg, I = 2
33.94 deg, I = 100
41.07 deg, I = 1
45.43 deg, I = 13
51.93 deg, I = 17
60.74 deg, I = 18
63.50 deg, I = 31

***

Which formula does entry 4 have?
Y3ErTe2C2